Structure and theoretical X-ray diffraction stick pattern of ScCuGeTe3 (a DFT-relaxed cell (GGA-PBE, OQMD); Cu Ka).
Neutral-atom scattering factors, no anomalous dispersion.

Structural model:
a = 12.614 Å, b = 4.194 Å, c = 12.159 Å
α = 90.00°, β = 90.00°, γ = 90.00°
Element x y z (fractional)
Sc 0.054 0.250 0.180
Sc 0.446 0.750 0.680
Sc 0.554 0.250 0.320
Sc 0.946 0.750 0.820
Cu 0.240 0.750 0.275
Cu 0.260 0.250 0.775
Cu 0.740 0.750 0.225
Cu 0.760 0.250 0.725
Ge 0.232 0.250 0.401
Ge 0.268 0.750 0.901
Ge 0.732 0.250 0.099
Ge 0.768 0.750 0.599
Te 0.050 0.750 0.356
Te 0.088 0.250 0.927
Te 0.217 0.750 0.660
Te 0.283 0.250 0.160
Te 0.412 0.750 0.427
Te 0.450 0.250 0.856
Te 0.550 0.750 0.144
Te 0.588 0.250 0.573
Te 0.717 0.750 0.840
Te 0.783 0.250 0.340
Te 0.912 0.750 0.073
Te 0.950 0.250 0.644

Main lines, by angle (2θ = 10–80°):
| 2θ/deg | I_rel |
| --- | --- |
| 23.52 | 44 |
| 25.76 | 45 |
| 26.55 | 61 |
| 31.00 | 67 |
| 31.50 | 53 |
| 33.59 | 55 |
| 33.88 | 100 |
| 37.22 | 42 |
| 43.14 | 63 |
| 48.39 | 39 |

=====

Structure and theoretical X-ray diffraction stick pattern of CuAg (a DFT-relaxed cell (GGA-PBE, OQMD); Cu Ka).
Neutral-atom scattering factors, no anomalous dispersion.

Structural model:
a = 2.788 Å, b = 3.760 Å, c = 11.255 Å
α = 90.00°, β = 90.00°, γ = 90.00°
Element x y z (fractional)
Cu 0.000 0.000 0.122
Cu 0.000 0.000 0.878
Cu 0.500 0.500 0.233
Cu 0.500 0.500 0.767
Ag 0.000 0.000 0.356
Ag 0.000 0.000 0.644
Ag 0.500 0.500 0.000
Ag 0.500 0.500 0.500

Main lines, by angle (2θ = 10–80°):
| 2θ/deg | I_rel |
| --- | --- |
| 28.55 | 9 |
| 33.75 | 7 |
| 40.02 | 87 |
| 40.27 | 100 |
| 45.82 | 58 |
| 48.42 | 27 |
| 64.82 | 7 |
| 66.45 | 6 |
| 67.15 | 10 |
| 68.86 | 32 |

=====

Structure and theoretical X-ray diffraction stick pattern of Ir2Os2O5 (a DFT-relaxed cell (GGA-PBE, OQMD); Cu Ka).
Neutral-atom scattering factors, no anomalous dispersion.

Structural model:
a = 3.410 Å, b = 3.410 Å, c = 8.038 Å
α = 90.00°, β = 90.00°, γ = 90.00°
Element x y z (fractional)
Ir 0.000 0.000 0.000
Ir 0.000 0.000 0.500
Os 0.500 0.500 0.158
Os 0.500 0.500 0.842
O 0.000 0.500 0.298
O 0.000 0.500 0.702
O 0.500 0.000 0.298
O 0.500 0.000 0.702
O 0.500 0.500 0.500

Main lines, by angle (2θ = 10–80°):
| 2θ/deg | I_rel |
| --- | --- |
| 11.01 | 36 |
| 28.43 | 22 |
| 34.49 | 100 |
| 37.29 | 76 |
| 42.93 | 31 |
| 50.95 | 23 |
| 52.88 | 43 |
| 53.76 | 37 |
| 65.46 | 33 |
| 78.78 | 28 |

=====

Structure and theoretical X-ray diffraction stick pattern of KZn2BBr2O3 (a DFT-relaxed cell (GGA-PBE, OQMD); Cu Ka).
Neutral-atom scattering factors, no anomalous dispersion.

Structural model:
a = 9.718 Å, b = 9.718 Å, c = 9.718 Å
α = 29.76°, β = 29.76°, γ = 29.76°
Element x y z (fractional)
K 0.000 0.000 0.000
Zn 0.194 0.194 0.194
Zn 0.806 0.806 0.806
B 0.500 0.500 0.500
Br 0.279 0.279 0.279
Br 0.721 0.721 0.721
O 0.224 0.776 0.500
O 0.500 0.224 0.776
O 0.776 0.500 0.224

Main lines, by angle (2θ = 10–80°):
| 2θ/deg | I_rel |
| --- | --- |
| 21.52 | 100 |
| 24.24 | 82 |
| 35.98 | 76 |
| 38.46 | 31 |
| 41.33 | 32 |
| 42.32 | 22 |
| 47.37 | 16 |
| 56.73 | 18 |
| 64.69 | 16 |
| 68.33 | 16 |

=====

Structure and theoretical X-ray diffraction stick pattern of SmBiNO (a DFT-relaxed cell (GGA-PBE, OQMD); Cu Ka).
Neutral-atom scattering factors, no anomalous dispersion.

Structural model:
a = 3.895 Å, b = 6.616 Å, c = 6.501 Å
α = 90.00°, β = 90.00°, γ = 90.00°
Element x y z (fractional)
Sm 0.000 0.195 0.000
Sm 0.000 0.805 0.500
Bi 0.500 0.323 0.567
Bi 0.500 0.677 0.067
N 0.500 0.377 0.920
N 0.500 0.623 0.420
O 0.000 0.073 0.308
O 0.000 0.927 0.808

Main lines, by angle (2θ = 10–80°):
| 2θ/deg | I_rel |
| --- | --- |
| 26.56 | 20 |
| 26.95 | 18 |
| 27.44 | 31 |
| 29.96 | 100 |
| 30.32 | 30 |
| 38.84 | 14 |
| 47.37 | 17 |
| 50.11 | 19 |
| 55.62 | 18 |
| 56.64 | 13 |

=====

Structure and theoretical X-ray diffraction stick pattern of Zn2Mo8C3N3 (a DFT-relaxed cell (GGA-PBE, OQMD); Cu Ka).
Neutral-atom scattering factors, no anomalous dispersion.

Structural model:
a = 3.084 Å, b = 3.084 Å, c = 23.311 Å
α = 90.00°, β = 90.00°, γ = 120.00°
Element x y z (fractional)
Zn 0.333 0.667 0.251
Zn 0.667 0.333 0.749
Mo 0.000 0.000 0.155
Mo 0.000 0.000 0.344
Mo 0.000 0.000 0.656
Mo 0.000 0.000 0.845
Mo 0.333 0.667 0.057
Mo 0.333 0.667 0.451
Mo 0.667 0.333 0.549
Mo 0.667 0.333 0.943
C 0.000 0.000 0.000
C 0.333 0.667 0.889
C 0.667 0.333 0.111
N 0.000 0.000 0.500
N 0.333 0.667 0.606
N 0.667 0.333 0.394

Main lines, by angle (2θ = 10–80°):
| 2θ/deg | I_rel |
| --- | --- |
| 33.78 | 25 |
| 34.45 | 25 |
| 37.03 | 56 |
| 38.62 | 45 |
| 38.86 | 87 |
| 41.01 | 100 |
| 60.00 | 51 |
| 73.67 | 40 |
| 74.13 | 17 |
| 75.25 | 15 |